Entry 1:
Diffraction record for Nd14ErSc. The XRD peak list is simulated, not measured: it uses a PBE-relaxed structure and CuKα.

Main lines, in order of falling intensity (2θ = 5–70°):
d (Å)  intensity
2.975  1000
2.577  506
1.554  428
1.822  360
1.488  123
5.951  14

Structure:
Cell: 10.297 7.291 7.291 Å, 90.00 90.00 90.00°
Sites, in units of the cell vectors:
Nd 0.000 0.000 0.000
Nd 0.000 0.000 0.499
Nd 0.000 0.499 0.000
Nd 0.000 0.500 0.500
Nd 0.255 0.248 0.248
Nd 0.255 0.248 0.752
Nd 0.255 0.752 0.248
Nd 0.255 0.752 0.752
Nd 0.500 0.500 0.999
Nd 0.500 0.999 0.500
Nd 0.745 0.248 0.248
Nd 0.745 0.248 0.752
Nd 0.745 0.752 0.248
Nd 0.745 0.752 0.752
Er 0.500 0.500 0.500
Sc 0.500 0.000 0.000

Entry 2:
Diffraction record for NdEr4Sc6. The XRD peak list is simulated, not measured: it uses a PBE-relaxed structure and CuKα.

Main lines, in order of falling intensity (2θ = 5–70°):
d (Å)  intensity
2.706  1000
2.613  949
2.663  670
4.219  631
2.637  428
2.742  417

Structure:
Cell: 17.480 17.480 3.329 Å, 90.00 90.00 162.47°
Sites, in units of the cell vectors:
Nd 0.000 0.000 0.000
Er 0.184 0.816 0.000
Er 0.440 0.560 0.000
Er 0.560 0.440 0.000
Er 0.816 0.184 0.000
Sc 0.093 0.907 0.500
Sc 0.271 0.729 0.500
Sc 0.358 0.642 0.500
Sc 0.642 0.358 0.500
Sc 0.729 0.271 0.500
Sc 0.907 0.093 0.500

Entry 3:
Diffraction record for Nd2Er5Sc4. The XRD peak list is simulated, not measured: it uses a PBE-relaxed structure and CuKα.

Main lines, in order of falling intensity (2θ = 5–70°):
d (Å)  intensity
3.437  1000
2.702  718
2.650  702
3.034  537
2.050  483
2.810  439

Structure:
Cell: 12.168 12.168 12.168 Å, 164.03 138.16 45.06°
Sites, in units of the cell vectors:
Nd 0.232 0.232 0.000
Nd 0.768 0.768 0.000
Er 0.165 0.363 0.803
Er 0.440 0.637 0.803
Er 0.500 0.000 0.500
Er 0.560 0.363 0.197
Er 0.835 0.637 0.197
Sc 0.094 0.094 0.000
Sc 0.178 0.500 0.678
Sc 0.822 0.500 0.322
Sc 0.906 0.906 0.000